(1)
Calculated X-ray powder pattern of MgTiO2 for copper Kα, from DFT lattice parameters and positions (GGA-PBE).

Cell and atoms:
a b c (Å): 8.050 8.050 10.181
angles (deg): 128.82 128.82 20.63
Fractional positions:
Mg (0.024, 0.024, 0.387)
Mg (0.321, 0.321, 0.280)
Mg (0.679, 0.679, 0.720)
Mg (0.976, 0.976, 0.613)
Ti (0.183, 0.183, 0.358)
Ti (0.389, 0.389, 0.055)
Ti (0.611, 0.611, 0.945)
Ti (0.817, 0.817, 0.642)
O (0.148, 0.148, 0.835)
O (0.155, 0.155, 0.114)
O (0.193, 0.193, 0.583)
O (0.453, 0.453, 0.741)
O (0.547, 0.547, 0.259)
O (0.807, 0.807, 0.417)
O (0.845, 0.845, 0.886)
O (0.852, 0.852, 0.165)

Principal peaks in the range 2θ from 10° to 90°, sorted by position:
- 17.4°, I 47
- 23.6°, I 39
- 34.3°, I 32
- 35.5°, I 100
- 41.1°, I 39
- 48.3°, I 86
- 48.9°, I 29
- 52.4°, I 29
- 61.5°, I 42
- 64.7°, I 27

(2)
Calculated X-ray powder pattern of Mg3Ti9O20 for copper Kα, from DFT lattice parameters and positions (GGA-PBE).

Cell and atoms:
a b c (Å): 10.806 10.806 5.265
angles (deg): 97.27 97.27 138.94
Fractional positions:
Mg (0.000, 0.000, 0.000)
Mg (0.057, 0.556, 0.222)
Mg (0.556, 0.057, 0.222)
Ti (0.128, 0.813, 0.879)
Ti (0.239, 0.427, 0.340)
Ti (0.316, 0.634, 0.889)
Ti (0.427, 0.239, 0.340)
Ti (0.500, 0.500, 0.999)
Ti (0.634, 0.316, 0.889)
Ti (0.747, 0.933, 0.346)
Ti (0.813, 0.128, 0.879)
Ti (0.933, 0.747, 0.346)
O (0.065, 0.702, 0.520)
O (0.092, 0.405, 0.992)
O (0.150, 0.972, 0.239)
O (0.200, 0.561, 0.523)
O (0.266, 0.764, 0.053)
O (0.301, 0.301, 0.160)
O (0.360, 0.491, 0.710)
O (0.405, 0.092, 0.992)
O (0.469, 0.650, 0.234)
O (0.491, 0.360, 0.710)
O (0.561, 0.200, 0.523)
O (0.590, 0.905, 0.986)
O (0.650, 0.469, 0.234)
O (0.702, 0.065, 0.520)
O (0.764, 0.266, 0.053)
O (0.779, 0.779, 0.155)
O (0.855, 0.992, 0.702)
O (0.905, 0.590, 0.986)
O (0.972, 0.150, 0.239)
O (0.992, 0.855, 0.702)

Principal peaks in the range 2θ from 10° to 90°, sorted by position:
- 17.5°, I 26
- 18.1°, I 28
- 25.2°, I 100
- 32.2°, I 64
- 40.9°, I 16
- 45.7°, I 18
- 48.0°, I 32
- 55.8°, I 15
- 59.0°, I 17
- 59.7°, I 18

(3)
Calculated X-ray powder pattern of MgTi3O6 for copper Kα, from DFT lattice parameters and positions (GGA-PBE).

Cell and atoms:
a b c (Å): 2.937 5.131 7.326
angles (deg): 89.60 78.45 89.93
Fractional positions:
Mg (0.000, 0.000, 0.000)
Ti (0.053, 0.506, 0.898)
Ti (0.351, 0.497, 0.302)
Ti (0.708, 0.995, 0.586)
O (0.134, 0.808, 0.734)
O (0.256, 0.226, 0.489)
O (0.478, 0.725, 0.047)
O (0.582, 0.241, 0.841)
O (0.804, 0.728, 0.397)
O (0.925, 0.318, 0.155)

Principal peaks in the range 2θ from 10° to 90°, sorted by position:
- 21.2°, I 74
- 21.4°, I 65
- 30.3°, I 86
- 30.5°, I 87
- 35.8°, I 100
- 35.9°, I 80
- 40.0°, I 50
- 50.9°, I 90
- 51.1°, I 77
- 57.6°, I 49

(4)
Calculated X-ray powder pattern of MgTi4O8 for copper Kα, from DFT lattice parameters and positions (GGA-PBE).

Cell and atoms:
a b c (Å): 3.260 7.652 7.849
angles (deg): 82.93 78.03 77.86
Fractional positions:
Mg (0.000, 0.000, 0.000)
Ti (0.218, 0.354, 0.933)
Ti (0.253, 0.025, 0.339)
Ti (0.503, 0.647, 0.069)
Ti (0.616, 0.978, 0.663)
O (0.020, 0.527, 0.134)
O (0.170, 0.839, 0.219)
O (0.224, 0.164, 0.782)
O (0.226, 0.879, 0.580)
O (0.386, 0.155, 0.099)
O (0.633, 0.847, 0.900)
O (0.679, 0.474, 0.868)
O (0.683, 0.125, 0.420)

Principal peaks in the range 2θ from 10° to 90°, sorted by position:
- 11.6°, I 100
- 11.9°, I 95
- 15.9°, I 35
- 17.3°, I 76
- 25.7°, I 22
- 27.1°, I 25
- 28.5°, I 26
- 36.7°, I 51
- 38.1°, I 31
- 44.7°, I 27

(5)
Calculated X-ray powder pattern of MgTi3O6 for copper Kα, from DFT lattice parameters and positions (GGA-PBE).

Cell and atoms:
a b c (Å): 5.942 5.942 5.883
angles (deg): 90.60 90.60 58.84
Fractional positions:
Mg (0.000, 0.000, 0.000)
Ti (0.463, 0.032, 0.679)
Ti (0.500, 0.500, 0.000)
Ti (0.968, 0.537, 0.321)
O (0.159, 0.647, 0.149)
O (0.177, 0.314, 0.547)
O (0.353, 0.841, 0.851)
O (0.635, 0.146, 0.879)
O (0.686, 0.823, 0.453)
O (0.854, 0.365, 0.121)

Principal peaks in the range 2θ from 10° to 90°, sorted by position:
- 15.1°, I 10
- 22.7°, I 41
- 23.0°, I 100
- 23.2°, I 39
- 34.7°, I 12
- 35.3°, I 25
- 43.1°, I 9
- 43.5°, I 9
- 43.7°, I 14
- 50.2°, I 10

(6)
Calculated X-ray powder pattern of MgTiO3 for copper Kα, from DFT lattice parameters and positions (GGA-PBE).

Cell and atoms:
a b c (Å): 5.303 7.464 5.101
angles (deg): 90.00 90.00 90.00
Fractional positions:
Mg (0.055, 0.250, 0.009)
Mg (0.445, 0.750, 0.509)
Mg (0.555, 0.250, 0.491)
Mg (0.945, 0.750, 0.991)
Ti (0.000, 0.000, 0.500)
Ti (0.000, 0.500, 0.500)
Ti (0.500, 0.000, 0.000)
Ti (0.500, 0.500, 0.000)
O (0.056, 0.750, 0.377)
O (0.188, 0.565, 0.817)
O (0.188, 0.935, 0.817)
O (0.312, 0.065, 0.317)
O (0.312, 0.435, 0.317)
O (0.444, 0.250, 0.877)
O (0.556, 0.750, 0.123)
O (0.688, 0.565, 0.683)
O (0.688, 0.935, 0.683)
O (0.812, 0.065, 0.183)
O (0.812, 0.435, 0.183)
O (0.944, 0.250, 0.623)

Principal peaks in the range 2θ from 10° to 90°, sorted by position:
- 23.8°, I 17
- 24.2°, I 35
- 33.8°, I 26
- 34.2°, I 100
- 35.2°, I 19
- 48.8°, I 20
- 49.6°, I 34
- 60.7°, I 37
- 61.6°, I 14
- 62.5°, I 36